No. 1
The following is a calculated powder diffractogram of Fe3O2F6. It was derived from a DFT-relaxed cell (GGA+U, Alexandria), using Cu Ka.

Largest 8 diffraction maxima, low angle first, 5° ≤ 2θ ≤ 70°:
| index | 2θ/deg | intensity |
| --- | --- | --- |
| 1 0 0 | 15.76 | 215 |
| 0 1 1 | 20.65 | 186 |
| 1 1 1 | 26.46 | 1000 |
| 1 1 -3 | 35.81 | 204 |
| 0 1 4 | 40.90 | 154 |
| 3 1 -1 | 52.69 | 162 |
| 2 2 -2 | 52.81 | 163 |
| 2 2 2 | 54.49 | 221 |

Structural model:
a = 5.636 Å, b = 4.770 Å, c = 9.978 Å
α = 90.00°, β = 93.97°, γ = 90.00°
Space group P2_1/c (No. 14)
Unique sites:
Fe 0.000 0.000 0.000 x2
Fe 0.244 0.024 0.740 x4
O 0.020 0.177 0.170 x4
F 0.204 0.693 0.075 x4
F 0.265 0.187 0.926 x4
F 0.483 0.742 0.808 x4


No. 2
The following is a calculated powder diffractogram of SrV3O7. It was derived from a DFT-relaxed cell (GGA+U, Alexandria), using Cu Ka.

Largest 8 diffraction maxima, low angle first, 5° ≤ 2θ ≤ 70°:
| index | 2θ/deg | intensity |
| --- | --- | --- |
| 2 0 0 | 15.39 | 376 |
| 2 2 0 | 22.88 | 180 |
| 2 1 1 | 24.11 | 403 |
| 2 2 1 | 28.29 | 1000 |
| 0 0 2 | 33.15 | 169 |
| 0 4 0 | 34.05 | 216 |
| 0 4 2 | 48.25 | 187 |
| 6 2 1 | 53.58 | 163 |

Structural model:
a = 11.513 Å, b = 10.535 Å, c = 5.405 Å
α = 90.00°, β = 90.00°, γ = 90.00°
Space group Pnma (No. 62)
Unique sites:
Sr 0.072 0.250 0.188 x4
V 0.192 0.523 0.703 x8
V 0.217 0.750 0.196 x4
O 0.054 0.567 0.719 x8
O 0.073 0.750 0.186 x4
O 0.221 0.118 0.464 x8
O 0.226 0.119 0.935 x8